Entry 1:
Starting from a crystal structure in Alexandria, relaxed with PBE, the powder diffraction line list of LaPrGaN3 was simulated for Cu Kα X-rays.
Kinematic intensities with the Lorentz-polarization factor, no thermal factor.

Main lines, low angle first (15° ≤ 2θ ≤ 90°):
d 3.258, I 23; d 3.244, I 33; d 2.860, I 31; d 2.609, I 100; d 2.545, I 20; d 2.528, I 19; d 1.895, I 17; d 1.791, I 17

abc: 7.6476 3.5840 7.6854
angles: 90.00 96.49 90.00
Sites, in units of the cell vectors:
1 La 0.1693 0.2500 0.1751
2 La 0.8307 0.7500 0.8249
3 Pr 0.3674 0.7500 0.8261
4 Pr 0.6326 0.2500 0.1739
5 Ga 0.0931 0.2500 0.6063
6 Ga 0.9069 0.7500 0.3937
7 N 0.1258 0.2500 0.8590
8 N 0.1568 0.7500 0.5050
9 N 0.3895 0.7500 0.1376
10 N 0.6105 0.2500 0.8624
11 N 0.8432 0.2500 0.4950
12 N 0.8742 0.7500 0.1410

---

Entry 2:
Starting from a crystal structure in Alexandria, relaxed with PBE, the powder diffraction line list of LaPr2GaN4 was simulated for Cu Kα X-rays.
Kinematic intensities with the Lorentz-polarization factor, no thermal factor.

Main lines, low angle first (15° ≤ 2θ ≤ 90°):
d 3.391, I 42; d 3.083, I 25; d 2.995, I 100; d 2.604, I 25; d 2.445, I 53; d 2.001, I 17; d 1.810, I 17; d 1.534, I 15

abc: 6.2586 6.2586 12.3335
angles: 90.00 90.00 146.85
Sites, in units of the cell vectors:
1 La 0.1041 0.8959 0.7500
2 La 0.8959 0.1041 0.2500
3 Pr 0.3688 0.6312 0.5453
4 Pr 0.3688 0.6312 0.9547
5 Pr 0.6312 0.3688 0.0453
6 Pr 0.6312 0.3688 0.4547
7 Ga 0.1675 0.8325 0.2500
8 Ga 0.8325 0.1675 0.7500
9 N 0.0000 0.0000 0.0000
10 N 0.0000 0.0000 0.5000
11 N 0.2712 0.7288 0.1294
12 N 0.2712 0.7288 0.3706
13 N 0.4351 0.5649 0.7500
14 N 0.5649 0.4351 0.2500
15 N 0.7288 0.2712 0.6294
16 N 0.7288 0.2712 0.8706

---

Entry 3:
Starting from a crystal structure in Alexandria, relaxed with PBE, the powder diffraction line list of NaLa6Ga3S14 was simulated for Cu Kα X-rays.
Kinematic intensities with the Lorentz-polarization factor, no thermal factor.

Main lines, low angle first (15° ≤ 2θ ≤ 90°):
d 3.939, I 29; d 3.601, I 100; d 3.357, I 29; d 2.668, I 34; d 2.564, I 35; d 2.529, I 40; d 2.287, I 33; d 2.268, I 30

abc: 10.2550 10.2550 6.1533
angles: 90.00 90.00 120.00
Sites, in units of the cell vectors:
1 Na 0.0000 0.0000 0.0000
2 La 0.1398 0.3746 0.7696
3 La 0.2348 0.8602 0.7696
4 La 0.3750 0.2367 0.2833
5 La 0.6254 0.7652 0.7696
6 La 0.7633 0.1383 0.2833
7 La 0.8617 0.6250 0.2833
8 Ga 0.0000 0.0000 0.4947
9 Ga 0.3333 0.6667 0.3557
10 Ga 0.6667 0.3333 0.8613
11 S 0.0886 0.2401 0.2678
12 S 0.0993 0.5801 0.5091
13 S 0.1514 0.9114 0.2678
14 S 0.2358 0.1451 0.7202
15 S 0.3333 0.6667 0.9881
16 S 0.4199 0.5193 0.5091
17 S 0.4807 0.9007 0.5091
18 S 0.5151 0.0988 0.0100
19 S 0.5837 0.4849 0.0100
20 S 0.6667 0.3333 0.4930
21 S 0.7599 0.8486 0.2678
22 S 0.8549 0.0907 0.7202
23 S 0.9012 0.4163 0.0100
24 S 0.9093 0.7642 0.7202

---

Entry 4:
Starting from a crystal structure in Alexandria, relaxed with PBE, the powder diffraction line list of Na2LaGaTe4 was simulated for Cu Kα X-rays.
Kinematic intensities with the Lorentz-polarization factor, no thermal factor.

Main lines, low angle first (15° ≤ 2θ ≤ 90°):
d 3.229, I 100; d 3.176, I 93; d 3.133, I 75; d 2.264, I 73; d 2.248, I 59; d 2.134, I 29; d 1.895, I 29; d 1.780, I 33

abc: 9.0163 9.0163 8.5373
angles: 117.79 117.79 91.49
Sites, in units of the cell vectors:
1 Na 0.0000 0.0000 0.0000
2 Na 0.0000 0.0000 0.5000
3 Na 0.0000 0.5000 0.0000
4 Na 0.5000 0.0000 0.5000
5 La 0.0000 0.5000 0.5000
6 La 0.5000 0.0000 0.0000
7 Ga 0.5000 0.5000 0.0000
8 Ga 0.5000 0.5000 0.5000
9 Te 0.2469 0.7505 0.0007
10 Te 0.2495 0.7531 0.4993
11 Te 0.2913 0.2957 0.0228
12 Te 0.2957 0.2913 0.5228
13 Te 0.7043 0.7087 0.4772
14 Te 0.7087 0.7043 0.9772
15 Te 0.7505 0.2469 0.5007
16 Te 0.7531 0.2495 0.9993

---

Entry 5:
Starting from a crystal structure in Alexandria, relaxed with PBE, the powder diffraction line list of La2Nb2Ga was simulated for Cu Kα X-rays.
Kinematic intensities with the Lorentz-polarization factor, no thermal factor.

Main lines, low angle first (15° ≤ 2θ ≤ 90°):
d 3.606, I 8; d 2.862, I 31; d 2.660, I 100; d 2.550, I 8; d 2.351, I 24; d 2.281, I 24; d 1.638, I 33; d 1.410, I 14

abc: 7.2126 7.2126 4.7024
angles: 90.00 90.00 90.00
Sites, in units of the cell vectors:
1 La 0.1818 0.3182 0.0000
2 La 0.3182 0.8182 0.0000
3 La 0.6818 0.1818 0.0000
4 La 0.8182 0.6818 0.0000
5 Nb 0.1330 0.6330 0.5000
6 Nb 0.3670 0.1330 0.5000
7 Nb 0.6330 0.8670 0.5000
8 Nb 0.8670 0.3670 0.5000
9 Ga 0.0000 0.0000 0.5000
10 Ga 0.5000 0.5000 0.5000

---

Entry 6:
Starting from a crystal structure in Alexandria, relaxed with PBE, the powder diffraction line list of La3Nd2Ga4 was simulated for Cu Kα X-rays.
Kinematic intensities with the Lorentz-polarization factor, no thermal factor.

Main lines, low angle first (15° ≤ 2θ ≤ 90°):
d 3.162, I 22; d 2.970, I 30; d 2.910, I 100; d 2.854, I 64; d 2.789, I 26; d 2.695, I 27; d 2.613, I 39; d 2.423, I 37

abc: 8.4031 8.3917 7.5974
angles: 90.00 105.80 90.00
Sites, in units of the cell vectors:
1 La 0.0000 0.0000 0.0000
2 La 0.0000 0.5000 0.5000
3 La 0.2641 0.1782 0.7491
4 La 0.2641 0.3218 0.2491
5 La 0.7359 0.6782 0.7509
6 La 0.7359 0.8218 0.2509
7 Nd 0.3142 0.6878 0.9277
8 Nd 0.3142 0.8122 0.4277
9 Nd 0.6858 0.1878 0.5723
10 Nd 0.6858 0.3122 0.0723
11 Ga 0.0195 0.6233 0.1141
12 Ga 0.0195 0.8767 0.6141
13 Ga 0.4229 0.0273 0.1356
14 Ga 0.4229 0.4727 0.6356
15 Ga 0.5771 0.5273 0.3644
16 Ga 0.5771 0.9727 0.8644
17 Ga 0.9805 0.1233 0.3859
18 Ga 0.9805 0.3767 0.8859

---

Entry 7:
Starting from a crystal structure in Alexandria, relaxed with PBE, the powder diffraction line list of LaNd7Ga4 was simulated for Cu Kα X-rays.
Kinematic intensities with the Lorentz-polarization factor, no thermal factor.

Main lines, low angle first (15° ≤ 2θ ≤ 90°):
d 3.357, I 30; d 3.098, I 57; d 2.989, I 66; d 2.939, I 73; d 2.846, I 100; d 2.635, I 47; d 2.384, I 49; d 2.096, I 38

abc: 7.5255 7.5255 10.6082
angles: 121.12 121.12 44.44
Sites, in units of the cell vectors:
1 La 0.0000 0.0000 0.0000
2 Nd 0.0653 0.0653 0.3885
3 Nd 0.2053 0.2053 0.8797
4 Nd 0.2971 0.2971 0.3584
5 Nd 0.5000 0.5000 0.0000
6 Nd 0.7029 0.7029 0.6416
7 Nd 0.7947 0.7947 0.1203
8 Nd 0.9347 0.9347 0.6115
9 Ga 0.3202 0.3202 0.6699
10 Ga 0.4484 0.4484 0.2441
11 Ga 0.5516 0.5516 0.7559
12 Ga 0.6798 0.6798 0.3301

---

Entry 8:
Starting from a crystal structure in Alexandria, relaxed with PBE, the powder diffraction line list of LaNdGa4 was simulated for Cu Kα X-rays.
Kinematic intensities with the Lorentz-polarization factor, no thermal factor.

Main lines, low angle first (15° ≤ 2θ ≤ 90°):
d 3.271, I 31; d 2.832, I 100; d 2.465, I 53; d 2.162, I 42; d 1.920, I 25; d 1.626, I 29; d 1.436, I 19; d 1.346, I 30

abc: 4.3249 4.3249 14.9995
angles: 90.00 90.00 90.00
Sites, in units of the cell vectors:
1 La 0.0000 0.0000 0.0000
2 La 0.5000 0.5000 0.5000
3 Nd 0.0000 0.5000 0.7500
4 Nd 0.5000 0.0000 0.2500
5 Ga 0.0000 0.0000 0.4160
6 Ga 0.0000 0.0000 0.5840
7 Ga 0.0000 0.5000 0.1675
8 Ga 0.0000 0.5000 0.3325
9 Ga 0.5000 0.0000 0.6675
10 Ga 0.5000 0.0000 0.8325
11 Ga 0.5000 0.5000 0.0840
12 Ga 0.5000 0.5000 0.9160

---

Entry 9:
Starting from a crystal structure in Alexandria, relaxed with PBE, the powder diffraction line list of LaNd3Ga was simulated for Cu Kα X-rays.
Kinematic intensities with the Lorentz-polarization factor, no thermal factor.

Main lines, low angle first (15° ≤ 2θ ≤ 90°):
d 3.126, I 38; d 2.987, I 28; d 2.926, I 100; d 2.889, I 91; d 2.530, I 67; d 1.775, I 16; d 1.527, I 16; d 1.516, I 18

abc: 11.3673 5.0617 11.0972
angles: 90.00 90.00 90.00
Sites, in units of the cell vectors:
1 La 0.2379 0.2500 0.0115
2 La 0.2621 0.7500 0.5115
3 La 0.7379 0.2500 0.4885
4 La 0.7621 0.7500 0.9885
5 Nd 0.0713 0.2500 0.4017
6 Nd 0.0972 0.7500 0.8441
7 Nd 0.1404 0.7500 0.1935
8 Nd 0.3596 0.2500 0.6935
9 Nd 0.4028 0.2500 0.3441
10 Nd 0.4287 0.7500 0.9017
11 Nd 0.5713 0.2500 0.0983
12 Nd 0.5972 0.7500 0.6559
13 Nd 0.6404 0.7500 0.3065
14 Nd 0.8596 0.2500 0.8065
15 Nd 0.9028 0.2500 0.1559
16 Nd 0.9287 0.7500 0.5983
17 Ga 0.0947 0.2500 0.6747
18 Ga 0.4053 0.7500 0.1747
19 Ga 0.5947 0.2500 0.8253
20 Ga 0.9053 0.7500 0.3253

---

Entry 10:
Starting from a crystal structure in Alexandria, relaxed with PBE, the powder diffraction line list of LaNd5Ga6 was simulated for Cu Kα X-rays.
Kinematic intensities with the Lorentz-polarization factor, no thermal factor.

Main lines, low angle first (15° ≤ 2θ ≤ 90°):
d 3.710, I 13; d 2.623, I 100; d 1.855, I 18; d 1.659, I 5; d 1.515, I 36; d 1.311, I 9; d 1.174, I 8; d 1.173, I 8

abc: 8.3043 8.3043 7.4157
angles: 90.00 90.00 143.20
Sites, in units of the cell vectors:
1 La 0.0000 0.0000 0.0000
2 Nd 0.0000 0.0000 0.5000
3 Nd 0.3330 0.6670 0.0000
4 Nd 0.3353 0.6647 0.5000
5 Nd 0.6647 0.3353 0.5000
6 Nd 0.6670 0.3330 0.0000
7 Ga 0.1688 0.8312 0.2537
8 Ga 0.1688 0.8312 0.7463
9 Ga 0.5000 0.5000 0.2526
10 Ga 0.5000 0.5000 0.7474
11 Ga 0.8312 0.1688 0.2537
12 Ga 0.8312 0.1688 0.7463

---

Entry 11:
Starting from a crystal structure in Alexandria, relaxed with PBE, the powder diffraction line list of La2NdGa3 was simulated for Cu Kα X-rays.
Kinematic intensities with the Lorentz-polarization factor, no thermal factor.

Main lines, low angle first (15° ≤ 2θ ≤ 90°):
d 3.749, I 12; d 2.651, I 100; d 1.877, I 6; d 1.873, I 12; d 1.531, I 24; d 1.529, I 12; d 1.326, I 6; d 1.185, I 10

abc: 5.2993 7.4923 8.3854
angles: 90.00 108.28 90.00
Sites, in units of the cell vectors:
1 La 0.0000 0.0000 0.0000
2 La 0.0000 0.5000 0.0000
3 La 0.3354 0.0000 0.6709
4 La 0.6646 0.0000 0.3291
5 Nd 0.3330 0.5000 0.6659
6 Nd 0.6670 0.5000 0.3341
7 Ga 0.1688 0.2560 0.3376
8 Ga 0.1688 0.7440 0.3376
9 Ga 0.5000 0.2571 0.0000
10 Ga 0.5000 0.7429 0.0000
11 Ga 0.8312 0.2560 0.6624
12 Ga 0.8312 0.7440 0.6624

---

Entry 12:
Starting from a crystal structure in Alexandria, relaxed with PBE, the powder diffraction line list of La5Nd4Ga4 was simulated for Cu Kα X-rays.
Kinematic intensities with the Lorentz-polarization factor, no thermal factor.

Main lines, low angle first (15° ≤ 2θ ≤ 90°):
d 3.214, I 23; d 3.070, I 12; d 2.847, I 100; d 2.594, I 26; d 2.409, I 18; d 1.765, I 14; d 1.604, I 12; d 1.542, I 16

abc: 9.0633 9.0633 9.0633
angles: 94.70 94.70 146.73
Sites, in units of the cell vectors:
1 La 0.0000 0.0000 0.0000
2 La 0.3114 0.3910 0.7024
3 La 0.3910 0.6886 0.0796
4 La 0.6090 0.3114 0.9204
5 La 0.6886 0.6090 0.2976
6 Nd 0.0924 0.6241 0.7166
7 Nd 0.3759 0.0924 0.4683
8 Nd 0.6241 0.9076 0.5317
9 Nd 0.9076 0.3759 0.2834
10 Ga 0.1105 0.2334 0.3439
11 Ga 0.2334 0.8895 0.1229
12 Ga 0.7666 0.1105 0.8771
13 Ga 0.8895 0.7666 0.6561